Record 1
Starting from a cell relaxed with GGA-PBE, the powder diffractogram of Ho2Si3 was calculated for Cu Kα X-rays.

Atomic structure:
```
Ho2Si3
1.0
-1.941 1.986 6.827
1.941 -1.986 6.827
1.941 1.986 -6.827
Ho Si
2 3
Direct
0.000 0.000 0.000
0.755 0.255 0.500
0.325 0.825 0.500
0.426 0.426 0.000
0.596 0.596 0.000
```

The 10 most intense peaks (2θ from 10° to 90°), low angle first:
2θ/deg, d/Å, Rel. int.
23.3, 3.815, 30
23.8, 3.734, 31
26.1, 3.414, 32
29.9, 2.993, 31
30.3, 2.953, 25
34.9, 2.572, 100
40.1, 2.250, 18
40.4, 2.233, 20
45.7, 1.986, 14
52.2, 1.752, 16

Record 2
Starting from a cell relaxed with GGA-PBE, the powder diffractogram of HoZnSi was calculated for Cu Kα X-rays.

Atomic structure:
```
HoZnSi
1.0
4.102 0.000 0.000
-2.051 3.552 0.000
0.000 0.000 4.025
Ho Zn Si
1 1 1
Direct
0.000 0.000 0.000
0.667 0.333 0.500
0.333 0.667 0.500
```

The 10 most intense peaks (2θ from 10° to 90°), low angle first:
2θ/deg, d/Å, Rel. int.
25.1, 3.552, 31
33.7, 2.663, 100
44.2, 2.051, 35
45.0, 2.013, 11
52.2, 1.751, 9
56.6, 1.625, 22
64.9, 1.436, 22
74.5, 1.274, 20
75.8, 1.255, 9
81.2, 1.184, 6

Record 3
Starting from a cell relaxed with GGA-PBE, the powder diffractogram of SmHo3 was calculated for Cu Kα X-rays.

Atomic structure:
```
SmHo3
1.0
-2.512 2.512 5.031
2.512 -2.512 5.031
2.512 2.512 -5.031
Sm Ho
1 3
Direct
0.000 0.000 0.000
0.250 0.750 0.500
0.500 0.500 0.000
0.750 0.250 0.500
```

The 10 most intense peaks (2θ from 10° to 90°), low angle first:
2θ/deg, d/Å, Rel. int.
30.8, 2.902, 100
35.7, 2.513, 51
51.4, 1.777, 36
61.2, 1.516, 43
64.2, 1.451, 12
75.6, 1.258, 2
75.7, 1.256, 4
83.9, 1.153, 18
86.6, 1.124, 11
86.7, 1.123, 6

Record 4
Starting from a cell relaxed with GGA-PBE, the powder diffractogram of SmHo3 was calculated for Cu Kα X-rays.

Atomic structure:
```
SmHo3
1.0
7.220 0.000 0.000
-3.610 6.252 0.000
0.000 0.000 5.727
Sm Ho
2 6
Direct
0.333 0.667 0.250
0.667 0.333 0.750
0.165 0.331 0.750
0.165 0.835 0.750
0.331 0.165 0.250
0.669 0.835 0.750
0.835 0.165 0.250
0.835 0.669 0.250
```

The 10 most intense peaks (2θ from 10° to 90°), low angle first:
2θ/deg, d/Å, Rel. int.
28.6, 3.126, 24
31.2, 2.864, 25
32.6, 2.744, 100
42.8, 2.112, 16
50.6, 1.805, 20
56.5, 1.629, 21
60.6, 1.527, 23
61.5, 1.508, 16
83.5, 1.157, 14
86.8, 1.122, 9

Record 5
Starting from a cell relaxed with GGA-PBE, the powder diffractogram of SmHoZn2 was calculated for Cu Kα X-rays.

Atomic structure:
```
SmHoZn2
1.0
0.000 3.603 3.603
3.603 0.000 3.603
3.603 3.603 0.000
Sm Ho Zn
1 1 2
Direct
0.000 0.000 0.000
0.500 0.500 0.500
0.250 0.250 0.250
0.750 0.750 0.750
```

The 9 most intense peaks (2θ from 10° to 90°), low angle first:
2θ/deg, d/Å, Rel. int.
24.7, 3.603, 17
35.2, 2.548, 100
43.5, 2.080, 5
50.7, 1.801, 18
57.2, 1.611, 7
63.2, 1.471, 36
74.5, 1.274, 11
79.9, 1.201, 4
85.2, 1.139, 16

Record 6
Starting from a cell relaxed with GGA-PBE, the powder diffractogram of Ho11Sn10 was calculated for Cu Kα X-rays.

Atomic structure:
```
Ho11Sn10
1.0
-5.809 5.809 8.498
5.809 -5.809 8.498
5.809 5.809 -8.498
Ho Sn
22 20
Direct
0.059 0.311 0.748
0.102 0.432 0.330
0.102 0.773 0.670
0.164 0.164 0.000
0.227 0.898 0.330
0.311 0.059 0.748
0.311 0.564 0.252
0.325 0.325 0.651
0.325 0.675 0.000
0.432 0.102 0.330
0.436 0.689 0.748
0.564 0.311 0.252
0.568 0.898 0.670
0.675 0.325 0.000
0.675 0.675 0.349
0.689 0.436 0.748
0.689 0.941 0.252
0.773 0.102 0.670
0.836 0.836 0.000
0.898 0.227 0.330
0.898 0.568 0.670
0.941 0.689 0.252
0.031 0.031 0.413
0.031 0.618 0.000
0.129 0.129 0.258
0.129 0.871 0.000
0.144 0.500 0.644
0.250 0.750 0.500
0.382 0.382 0.413
0.382 0.969 0.000
0.388 0.388 0.000
0.500 0.144 0.644
0.500 0.856 0.356
0.612 0.612 0.000
0.618 0.031 0.000
0.618 0.618 0.587
0.750 0.250 0.500
0.856 0.500 0.356
0.871 0.129 0.000
0.871 0.871 0.742
0.969 0.382 0.000
0.969 0.969 0.587
```

The 10 most intense peaks (2θ from 10° to 90°), low angle first:
2θ/deg, d/Å, Rel. int.
30.8, 2.905, 36
31.5, 2.844, 89
32.0, 2.801, 100
32.2, 2.779, 53
32.6, 2.748, 54
32.7, 2.738, 75
35.1, 2.555, 51
42.0, 2.150, 25
46.9, 1.937, 31
64.5, 1.444, 35

Record 7
Starting from a cell relaxed with GGA-PBE, the powder diffractogram of HoSn2 was calculated for Cu Kα X-rays.

Atomic structure:
```
HoSn2
1.0
2.209 -8.174 0.000
2.209 8.174 0.000
0.000 0.000 4.356
Ho Sn
2 4
Direct
0.099 0.901 0.750
0.901 0.099 0.250
0.251 0.749 0.250
0.437 0.563 0.750
0.563 0.437 0.250
0.749 0.251 0.750
```

The 10 most intense peaks (2θ from 10° to 90°), low angle first:
2θ/deg, d/Å, Rel. int.
32.9, 2.725, 20
33.2, 2.696, 100
40.8, 2.209, 15
41.5, 2.178, 15
53.4, 1.716, 10
53.9, 1.701, 10
58.9, 1.567, 10
59.6, 1.551, 10
69.5, 1.352, 12
70.4, 1.337, 12

Record 8
Starting from a cell relaxed with GGA-PBE, the powder diffractogram of Ho3Sn7 was calculated for Cu Kα X-rays.

Atomic structure:
```
Ho3Sn7
1.0
2.202 -13.315 0.000
2.202 13.315 0.000
0.000 0.000 4.467
Ho Sn
3 7
Direct
0.000 0.000 0.000
0.311 0.689 0.500
0.689 0.311 0.500
0.096 0.904 0.500
0.211 0.789 0.000
0.403 0.597 0.000
0.500 0.500 0.500
0.597 0.403 0.000
0.789 0.211 0.000
0.904 0.096 0.500
```

The 10 most intense peaks (2θ from 10° to 90°), low angle first:
2θ/deg, d/Å, Rel. int.
33.1, 2.703, 100
33.6, 2.664, 23
40.4, 2.233, 15
41.0, 2.202, 15
53.6, 1.711, 11
54.0, 1.697, 12
59.9, 1.545, 12
68.9, 1.364, 13
69.6, 1.351, 10
69.7, 1.349, 12